The following is a theoretical X-ray powder pattern of PrTi2O6. It was derived from the GGA-PBE geometry in the Materials Project, using CuKα.
Kinematic intensities with the Lorentz-polarization factor, no thermal factor.

Cell and atoms:
```
data_PrTi2O6
_chemical_formula_sum 'Pr2 Ti4 O12'
_cell_length_a 7.725
_cell_length_b 5.550
_cell_length_c 5.447
_cell_angle_alpha 90.00
_cell_angle_beta 90.00
_cell_angle_gamma 90.00
_space_group_name_H-M_alt 'P m n 21'
_space_group_IT_number 31
loop_
_space_group_symop_operation_xyz
'x,y,z'
'-x+1/2,-y,z+1/2'
'-x,y,z'
'x+1/2,-y,z+1/2'
loop_
_atom_site_label
_atom_site_fract_x
_atom_site_fract_y
_atom_site_fract_z
_atom_site_occupancy
Pr1 0.000 0.203 0.000 1
Ti1 0.249 0.266 0.496 1
O1 0.000 0.257 0.553 1
O2 0.000 0.763 0.951 1
O3 0.215 0.467 0.206 1
O4 0.231 0.985 0.251 1
```

Main lines, low angle first (10 to 90 degrees two-theta):
2θ/deg  d/Å  Rel. int.  hkl
19.7  4.507  86  1 1 0
19.9  4.452  92  1 0 1
32.7  2.740  100  2 1 1
38.6  2.333  45  1 1 2
46.7  1.944  38  0 2 2
58.6  1.576  33  4 0 2